(1)
Theoretical powder X-ray diffraction pattern of ScAl4Ir2 for a wavelength of 1.5418 Å, from DFT lattice parameters and positions (PBE).
Kinematic intensities with the Lorentz-polarization factor, no thermal factor.

Main lines, low angle first (2θ = 10–80°):
d/Å, 2θ/deg, I_rel, index
3.552, 25.07, 85, 4 0 1
3.537, 25.18, 100, 0 1 1
3.073, 29.06, 91, 2 0 2
2.971, 30.08, 94, 4 1 0
2.478, 36.26, 86, 2 1 2
1.898, 47.94, 93, 2 1 3

Crystal structure
Lattice parameters (Å, degrees): 16.858 4.189 6.600 90.00 90.00 90.00
Sites, in units of the cell vectors:
Sc1 0.142 0.250 0.044
Sc2 0.358 0.750 0.544
Sc3 0.642 0.250 0.456
Sc4 0.858 0.750 0.956
Al1 0.034 0.750 0.859
Al2 0.068 0.250 0.493
Al3 0.186 0.750 0.352
Al4 0.196 0.750 0.765
Al5 0.304 0.250 0.265
Al6 0.314 0.250 0.852
Al7 0.432 0.750 0.993
Al8 0.466 0.250 0.359
Al9 0.534 0.750 0.641
Al10 0.568 0.250 0.007
Al11 0.686 0.750 0.148
Al12 0.696 0.750 0.735
Al13 0.804 0.250 0.235
Al14 0.814 0.250 0.648
Al15 0.932 0.750 0.507
Al16 0.966 0.250 0.141
Ir1 0.041 0.750 0.243
Ir2 0.214 0.250 0.563
Ir3 0.286 0.750 0.063
Ir4 0.459 0.250 0.743
Ir5 0.541 0.750 0.257
Ir6 0.714 0.250 0.937
Ir7 0.786 0.750 0.437
Ir8 0.959 0.250 0.757

(2)
Theoretical powder X-ray diffraction pattern of ScAlIr for a wavelength of 1.5418 Å, from DFT lattice parameters and positions (PBE).
Kinematic intensities with the Lorentz-polarization factor, no thermal factor.

Main lines, low angle first (2θ = 10–80°):
d/Å, 2θ/deg, I_rel, index
3.781, 23.53, 89, 1 0 0
2.399, 37.49, 100, 1 0 1
2.183, 41.36, 60, 1 1 0
1.786, 51.16, 29, 1 1 1
1.615, 57.04, 30, 2 0 1
1.298, 72.86, 28, 2 1 1

Crystal structure
Lattice parameters (Å, degrees): 4.366 4.366 3.103 90.00 90.00 120.00
Sites, in units of the cell vectors:
Sc1 0.000 0.000 0.000
Al1 0.333 0.667 0.500
Ir1 0.667 0.333 0.500

(3)
Theoretical powder X-ray diffraction pattern of SmAl2SiIr for a wavelength of 1.5418 Å, from DFT lattice parameters and positions (PBE).
Kinematic intensities with the Lorentz-polarization factor, no thermal factor.

Main lines, low angle first (2θ = 10–80°):
d/Å, 2θ/deg, I_rel, index
3.813, 23.33, 42, 0 1 1
3.721, 23.92, 33, 1 0 1
2.785, 32.13, 22, 0 0 4
2.740, 32.68, 20, 0 1 3
2.705, 33.12, 31, 1 0 3
2.523, 35.59, 100, 1 1 2

Crystal structure
Lattice parameters (Å, degrees): 3.947 4.058 11.142 90.00 90.00 90.00
Sites, in units of the cell vectors:
Sm1 0.000 0.000 0.000
Sm2 0.500 0.500 0.500
Al1 0.000 0.000 0.382
Al2 0.000 0.500 0.244
Al3 0.500 0.000 0.744
Al4 0.500 0.500 0.882
Si1 0.000 0.000 0.606
Si2 0.500 0.500 0.106
Ir1 0.000 0.500 0.738
Ir2 0.500 0.000 0.238